Theoretical X-ray powder pattern of Dy4YAu5 for Cu Kα (λ = 1.5418 Å), from the GGA-PBE geometry in Alexandria.
Peak positions follow from Bragg's law for the DFT cell and can differ from measured ones.

Most intense lines, 10° ≤ 2θ ≤ 80°, by intensity:
h k l  2theta  d/Å  I_rel
1 0 5  35.12  2.555  100
1 1 0  35.54  2.526  48
2 1 5  63.55  1.464  36
1 1 10  62.75  1.481  19
2 0 0  51.14  1.786  17
2 0 10  74.24  1.277  12
0 0 10  49.90  1.828  9
2 2 0  75.23  1.263  6
1 0 0  24.92  3.573  3
0 0 5  24.35  3.655  1

Cell and atoms:
```
Dy4YAu5
1.0
3.5725 0.0000 0.0000
0.0000 3.5725 0.0000
0.0000 0.0000 18.2765
Dy Y Au
4 1 5
Direct
0.0000 0.0000 0.0999 Dy
0.0000 0.0000 0.2997 Dy
0.0000 0.0000 0.7003 Dy
0.0000 0.0000 0.9001 Dy
0.0000 0.0000 0.5000 Y
0.5000 0.5000 0.0000 Au
0.5000 0.5000 0.1998 Au
0.5000 0.5000 0.3990 Au
0.5000 0.5000 0.6010 Au
0.5000 0.5000 0.8002 Au
```